1.
Diffraction record for Ho2Er9Sc. The XRD peak list is computed, not measured: it uses a DFT-relaxed cell (GGA-PBE, Alexandria) and Cu Kα X-rays.
No peak broadening, texture or thermal motion is included.

Main lines, by angle (2θ from 10° to 80°):
| Position (°2θ) | I/Imax |
| --- | --- |
| 31.39 | 1000 |
| 36.40 | 505 |
| 52.42 | 356 |
| 62.35 | 283 |
| 62.47 | 138 |
| 65.50 | 121 |

Crystal structure
Cell lengths 4.9405, 4.9405, 14.7871 Å; angles 90.00, 90.00, 90.00 degrees
Positions (direct):
Ho1 0.0000 0.0000 0.1681
Ho2 0.0000 0.0000 0.8319
Er1 0.0000 0.5000 0.0000
Er2 0.0000 0.5000 0.3373
Er3 0.0000 0.5000 0.6627
Er4 0.5000 0.0000 0.0000
Er5 0.5000 0.0000 0.3373
Er6 0.5000 0.0000 0.6627
Er7 0.5000 0.5000 0.1689
Er8 0.5000 0.5000 0.5000
Er9 0.5000 0.5000 0.8311
Sc1 0.0000 0.0000 0.5000


2.
Diffraction record for Dy2HoCd3. The XRD peak list is computed, not measured: it uses a DFT-relaxed cell (GGA-PBE, Alexandria) and Cu Kα X-rays.
No peak broadening, texture or thermal motion is included.

Main lines, by angle (2θ from 10° to 80°):
| Position (°2θ) | I/Imax |
| --- | --- |
| 33.92 | 1000 |
| 48.72 | 179 |
| 60.57 | 92 |
| 60.73 | 273 |
| 71.29 | 56 |
| 71.46 | 56 |

Crystal structure
Cell lengths 5.2804, 5.2804, 6.4876 Å; angles 90.00, 90.00, 120.00 degrees
Positions (direct):
Dy1 0.3333 0.6667 0.1681
Dy2 0.6667 0.3333 0.8319
Ho1 0.0000 0.0000 0.5000
Cd1 0.0000 0.0000 0.0000
Cd2 0.3333 0.6667 0.6671
Cd3 0.6667 0.3333 0.3329


3.
Diffraction record for LiCr2. The XRD peak list is computed, not measured: it uses a DFT-relaxed cell (GGA-PBE, Alexandria) and Cu Kα X-rays.
No peak broadening, texture or thermal motion is included.

Main lines, by angle (2θ from 10° to 80°):
| Position (°2θ) | I/Imax |
| --- | --- |
| 24.02 | 421 |
| 24.25 | 943 |
| 42.39 | 1000 |
| 42.80 | 486 |
| 45.73 | 787 |
| 55.26 | 421 |

Crystal structure
Cell lengths 2.2474, 4.2255, 7.4099 Å; angles 90.00, 90.00, 90.00 degrees
Positions (direct):
Li1 0.0000 0.0000 0.0000
Li2 0.5000 0.5000 0.5000
Cr1 0.0000 0.0000 0.3352
Cr2 0.0000 0.0000 0.6648
Cr3 0.5000 0.5000 0.1648
Cr4 0.5000 0.5000 0.8352


4.
Diffraction record for PmHfRe4. The XRD peak list is computed, not measured: it uses a DFT-relaxed cell (GGA-PBE, Alexandria) and Cu Kα X-rays.
No peak broadening, texture or thermal motion is included.

Main lines, by angle (2θ from 10° to 80°):
| Position (°2θ) | I/Imax |
| --- | --- |
| 20.19 | 98 |
| 33.26 | 229 |
| 39.22 | 1000 |
| 41.04 | 448 |
| 63.44 | 329 |
| 69.83 | 293 |

Crystal structure
Cell lengths 5.3877, 5.3877, 5.3877 Å; angles 60.00, 60.00, 60.00 degrees
Positions (direct):
Pm1 0.0000 0.0000 0.0000
Hf1 0.7500 0.7500 0.7500
Re1 0.3754 0.3754 0.3754
Re2 0.3754 0.3754 0.8739
Re3 0.3754 0.8739 0.3754
Re4 0.8739 0.3754 0.3754


5.
Diffraction record for CsCaPbF6. The XRD peak list is computed, not measured: it uses a DFT-relaxed cell (GGA-PBE, Alexandria) and Cu Kα X-rays.
No peak broadening, texture or thermal motion is included.

Main lines, by angle (2θ from 10° to 80°):
| Position (°2θ) | I/Imax |
| --- | --- |
| 16.31 | 212 |
| 21.99 | 1000 |
| 28.45 | 314 |
| 36.24 | 246 |
| 41.47 | 394 |
| 46.70 | 272 |

Crystal structure
Cell lengths 6.2751, 6.2751, 6.0484 Å; angles 90.00, 90.00, 120.00 degrees
Positions (direct):
Cs1 0.0000 0.0000 0.0000
Ca1 0.3333 0.6667 0.5000
Pb1 0.6667 0.3333 0.5000
F1 0.3866 0.0011 0.6987
F2 0.3866 0.3855 0.3013
F3 0.6145 0.0011 0.3013
F4 0.6145 0.6134 0.6987
F5 0.9989 0.3855 0.6987
F6 0.9989 0.6134 0.3013


6.
Diffraction record for CaH6PtO6. The XRD peak list is computed, not measured: it uses a DFT-relaxed cell (GGA-PBE, Alexandria) and Cu Kα X-rays.
No peak broadening, texture or thermal motion is included.

Main lines, by angle (2θ from 10° to 80°):
| Position (°2θ) | I/Imax |
| --- | --- |
| 16.88 | 254 |
| 19.34 | 667 |
| 25.78 | 1000 |
| 43.02 | 249 |
| 48.83 | 294 |
| 55.82 | 238 |

Crystal structure
Cell lengths 5.2993, 5.2993, 10.5030 Å; angles 90.00, 90.00, 120.00 degrees
Positions (direct):
Ca1 0.3333 0.6667 0.2500
Ca2 0.6667 0.3333 0.7500
H1 0.1868 0.4341 0.6219
H2 0.1868 0.7527 0.8781
H3 0.2473 0.4341 0.8781
H4 0.2473 0.8132 0.6219
H5 0.4341 0.1868 0.1219
H6 0.4341 0.2473 0.3781
H7 0.5659 0.7527 0.6219
H8 0.5659 0.8132 0.8781
H9 0.7527 0.1868 0.3781
H10 0.7527 0.5659 0.1219
H11 0.8132 0.2473 0.1219
H12 0.8132 0.5659 0.3781
Pt1 0.0000 0.0000 0.0000
Pt2 0.0000 0.0000 0.5000
O1 0.0340 0.3280 0.8851
O2 0.0340 0.7060 0.6149
O3 0.2940 0.3280 0.6149
O4 0.2940 0.9660 0.8851
O5 0.3280 0.0340 0.3851
O6 0.3280 0.2940 0.1149
O7 0.6720 0.7060 0.8851
O8 0.6720 0.9660 0.6149
O9 0.7060 0.0340 0.1149
O10 0.7060 0.6720 0.3851
O11 0.9660 0.2940 0.3851
O12 0.9660 0.6720 0.1149


7.
Diffraction record for Y2Er6Tm. The XRD peak list is computed, not measured: it uses a DFT-relaxed cell (GGA-PBE, Alexandria) and Cu Kα X-rays.
No peak broadening, texture or thermal motion is included.

Main lines, by angle (2θ from 10° to 80°):
| Position (°2θ) | I/Imax |
| --- | --- |
| 31.12 | 1000 |
| 36.09 | 505 |
| 51.96 | 357 |
| 61.81 | 423 |
| 64.89 | 122 |
| 76.56 | 57 |

Crystal structure
Cell lengths 10.5575, 10.5575, 4.9800 Å; angles 90.00, 90.00, 90.00 degrees
Positions (direct):
Y1 0.1662 0.1662 0.0000
Y2 0.3338 0.6662 0.5000
Y3 0.6662 0.3338 0.5000
Y4 0.8338 0.8338 0.0000
Er1 0.0001 0.3340 0.5000
Er2 0.9999 0.6660 0.5000
Er3 0.1660 0.5001 0.0000
Er4 0.1667 0.8333 0.0000
Er5 0.3333 0.3333 0.5000
Er6 0.3340 0.0001 0.5000
Er7 0.5001 0.1660 0.0000
Er8 0.4999 0.8340 0.0000
Er9 0.6660 0.9999 0.5000
Er10 0.6667 0.6667 0.5000
Er11 0.8333 0.1667 0.0000
Er12 0.8340 0.4999 0.0000
Tm1 0.0000 0.0000 0.5000
Tm2 0.5000 0.5000 0.0000


8.
Diffraction record for Sr4InGa3. The XRD peak list is computed, not measured: it uses a DFT-relaxed cell (GGA-PBE, Alexandria) and Cu Kα X-rays.
No peak broadening, texture or thermal motion is included.

Main lines, by angle (2θ from 10° to 80°):
| Position (°2θ) | I/Imax |
| --- | --- |
| 28.10 | 1000 |
| 28.80 | 520 |
| 35.12 | 707 |
| 35.57 | 368 |
| 37.45 | 326 |
| 39.93 | 272 |

Crystal structure
Cell lengths 4.5155, 4.8023, 12.1730 Å; angles 90.00, 90.00, 90.00 degrees
Positions (direct):
Sr1 0.0000 0.0000 0.0000
Sr2 0.0000 0.5000 0.4868
Sr3 0.5000 0.0000 0.7031
Sr4 0.5000 0.5000 0.2116
In1 0.0000 0.5000 0.7834
Ga1 0.0000 0.0000 0.2936
Ga2 0.5000 0.0000 0.4065
Ga3 0.5000 0.5000 0.9280


9.
Diffraction record for La4CuSI2. The XRD peak list is computed, not measured: it uses a DFT-relaxed cell (GGA-PBE, Alexandria) and Cu Kα X-rays.
No peak broadening, texture or thermal motion is included.

Main lines, by angle (2θ from 10° to 80°):
| Position (°2θ) | I/Imax |
| --- | --- |
| 28.26 | 545 |
| 28.68 | 1000 |
| 30.73 | 200 |
| 38.74 | 466 |
| 42.56 | 379 |
| 52.43 | 191 |

Crystal structure
Cell lengths 7.3936, 4.1877, 8.4053 Å; angles 90.00, 107.38, 90.00 degrees
Positions (direct):
La1 0.2196 0.0000 0.1992
La2 0.2656 0.5000 0.8027
La3 0.7344 0.5000 0.1973
La4 0.7804 0.0000 0.8008
Cu1 0.5000 0.0000 0.0000
S1 0.0000 0.5000 0.0000
I1 0.0000 0.0000 0.5000
I2 0.5000 0.5000 0.5000


10.
Diffraction record for Li2ThPN4. The XRD peak list is computed, not measured: it uses a DFT-relaxed cell (GGA-PBE, Alexandria) and Cu Kα X-rays.
No peak broadening, texture or thermal motion is included.

Main lines, by angle (2θ from 10° to 80°):
| Position (°2θ) | I/Imax |
| --- | --- |
| 21.80 | 1000 |
| 23.88 | 865 |
| 34.02 | 281 |
| 36.91 | 621 |
| 40.77 | 559 |
| 44.44 | 331 |

Crystal structure
Cell lengths 5.2702, 5.2702, 6.4335 Å; angles 90.00, 90.00, 90.00 degrees
Positions (direct):
Li1 0.0000 0.5000 0.2500
Li2 0.0000 0.5000 0.7500
Li3 0.5000 0.0000 0.2500
Li4 0.5000 0.0000 0.7500
Th1 0.0000 0.0000 0.0000
Th2 0.5000 0.5000 0.5000
P1 0.0000 0.0000 0.5000
P2 0.5000 0.5000 0.0000
N1 0.1847 0.1847 0.3568
N2 0.1847 0.8153 0.6432
N3 0.3153 0.3153 0.8568
N4 0.3153 0.6847 0.1432
N5 0.6847 0.3153 0.1432
N6 0.6847 0.6847 0.8568
N7 0.8153 0.1847 0.6432
N8 0.8153 0.8153 0.3568


11.
Diffraction record for Dy2CoTc3. The XRD peak list is computed, not measured: it uses a DFT-relaxed cell (GGA-PBE, Alexandria) and Cu Kα X-rays.
No peak broadening, texture or thermal motion is included.

Main lines, by angle (2θ from 10° to 80°):
| Position (°2θ) | I/Imax |
| --- | --- |
| 32.95 | 625 |
| 34.35 | 345 |
| 38.61 | 481 |
| 39.83 | 1000 |
| 40.44 | 603 |
| 42.11 | 326 |

Crystal structure
Cell lengths 5.4468, 5.4468, 5.4468 Å; angles 57.28, 57.28, 57.28 degrees
Positions (direct):
Dy1 0.1249 0.1249 0.1249
Dy2 0.8751 0.8751 0.8751
Co1 0.5000 0.5000 0.5000
Tc1 0.0000 0.5000 0.5000
Tc2 0.5000 0.0000 0.5000
Tc3 0.5000 0.5000 0.0000


12.
Diffraction record for Th3Hg2. The XRD peak list is computed, not measured: it uses a DFT-relaxed cell (GGA-PBE, Alexandria) and Cu Kα X-rays.
No peak broadening, texture or thermal motion is included.

Main lines, by angle (2θ from 10° to 80°):
| Position (°2θ) | I/Imax |
| --- | --- |
| 31.99 | 1000 |
| 36.44 | 377 |
| 38.40 | 128 |
| 52.48 | 136 |
| 53.97 | 196 |
| 62.80 | 301 |

Crystal structure
Cell lengths 3.4871, 3.4871, 23.4429 Å; angles 90.00, 90.00, 90.00 degrees
Positions (direct):
Th1 0.0000 0.0000 0.0000
Th2 0.0000 0.0000 0.1936
Th3 0.0000 0.0000 0.3877
Th4 0.0000 0.0000 0.6123
Th5 0.0000 0.0000 0.8064
Th6 0.5000 0.5000 0.5000
Hg1 0.5000 0.5000 0.0969
Hg2 0.5000 0.5000 0.2899
Hg3 0.5000 0.5000 0.7101
Hg4 0.5000 0.5000 0.9031


13.
Diffraction record for BeAl2Hg. The XRD peak list is computed, not measured: it uses a DFT-relaxed cell (GGA-PBE, Alexandria) and Cu Kα X-rays.
No peak broadening, texture or thermal motion is included.

Main lines, by angle (2θ from 10° to 80°):
| Position (°2θ) | I/Imax |
| --- | --- |
| 11.25 | 1000 |
| 22.60 | 192 |
| 31.74 | 284 |
| 33.88 | 240 |
| 37.55 | 253 |
| 39.42 | 221 |

Crystal structure
Cell lengths 2.8091, 3.0193, 7.8679 Å; angles 90.00, 90.00, 90.00 degrees
Positions (direct):
Be1 0.0000 0.0000 0.0000
Al1 0.5000 0.5000 0.1981
Al2 0.5000 0.5000 0.8019
Hg1 0.0000 0.0000 0.5000


14.
Diffraction record for CePrGeRh2. The XRD peak list is computed, not measured: it uses a DFT-relaxed cell (GGA-PBE, Alexandria) and Cu Kα X-rays.
No peak broadening, texture or thermal motion is included.

Main lines, by angle (2θ from 10° to 80°):
| Position (°2θ) | I/Imax |
| --- | --- |
| 29.56 | 249 |
| 33.91 | 1000 |
| 41.47 | 317 |
| 42.68 | 240 |
| 46.35 | 173 |
| 63.92 | 173 |

Crystal structure
Cell lengths 3.9182, 4.3534, 12.5931 Å; angles 90.00, 90.00, 90.00 degrees
Positions (direct):
Ce1 0.0000 0.0000 0.0000
Ce2 0.5000 0.5000 0.5000
Pr1 0.0000 0.5000 0.2422
Pr2 0.5000 0.0000 0.7422
Ge1 0.0000 0.5000 0.8362
Ge2 0.5000 0.0000 0.3362
Rh1 0.0000 0.0000 0.4737
Rh2 0.0000 0.5000 0.6360
Rh3 0.5000 0.0000 0.1360
Rh4 0.5000 0.5000 0.9737